Simulated powder diffractogram of Sr3AlN3 for Cu Kα, 1.54184 Å, from a structure optimized by DFT (PBE).
No peak broadening, texture or thermal motion is included.

Structural model:
```
Sr3AlN3
1.0
7.9207 -2.9054 0.0000
7.9207 2.9054 0.0000
0.0000 0.0000 10.3974
Sr Al N
12 4 12
Direct
0.0273 0.3333 0.8659
0.1294 0.8706 0.8375
0.1667 0.4727 0.6341
0.3333 0.0273 0.1341
0.3706 0.6294 0.3375
0.4727 0.1667 0.3659
0.5273 0.8333 0.6341
0.6294 0.3706 0.6625
0.6667 0.9727 0.8659
0.8333 0.5273 0.3659
0.8706 0.1294 0.1625
0.9727 0.6667 0.1341
0.0832 0.0832 0.5000
0.4168 0.4168 0.0000
0.5832 0.5832 0.0000
0.9168 0.9168 0.5000
0.0368 0.6569 0.3865
0.1569 0.5368 0.8865
0.1949 0.8051 0.5870
0.3051 0.6949 0.0870
0.3431 0.9632 0.3865
0.4632 0.8431 0.8865
0.5368 0.1569 0.1135
0.6569 0.0368 0.6135
0.6949 0.3051 0.9130
0.8051 0.1949 0.4130
0.8431 0.4632 0.1135
0.9632 0.3431 0.6135
```

Peak list (10 most intense, 2θ from 15° to 90°, sorted by position)
two_theta  Rel. int.
28.58  93.0
30.56  41.7
33.34  27.3
33.97  100.0
34.51  30.4
39.43  19.0
49.19  26.6
55.58  17.8
56.97  19.3
62.24  17.3